1.
# NaSm2Ag6
Calculated X-ray powder pattern, Cu Kα, 1.54184 Å. Input: a cell relaxed with GGA-PBE.
No peak broadening, texture or thermal motion is included.

Largest 12 diffraction maxima, most intense first, 2θ from 10° to 80°:
d_spacing	2θ/deg	intensity
2.608	34.39	100.0
2.434	36.93	93.7
1.780	51.34	31.2
1.437	64.91	30.1
1.371	68.42	28.9
7.303	12.12	20.5
1.405	66.53	15.7
1.963	46.25	11.6
1.217	78.60	9.7
1.660	55.36	9.3
3.319	26.86	9.2
3.022	29.56	5.4

Structural model:
Unit cell a=8.430 b=8.430 c=3.319 alpha=90.00 beta=90.00 gamma=119.94
Positions (direct):
1 Na 0.000 0.000 0.000
2 Sm 0.333 0.667 0.000
3 Sm 0.667 0.333 0.000
4 Ag 0.000 0.333 0.500
5 Ag 0.000 0.667 0.500
6 Ag 0.333 0.000 0.500
7 Ag 0.333 0.333 0.500
8 Ag 0.667 0.000 0.500
9 Ag 0.667 0.667 0.500

=====

2.
# Na4AgSn4
Calculated X-ray powder pattern, Cu Kα, 1.54184 Å. Input: a cell relaxed with GGA-PBE.
No peak broadening, texture or thermal motion is included.

Largest 12 diffraction maxima, most intense first, 2θ from 10° to 80°:
d_spacing	2θ/deg	intensity
6.448	13.73	100.0
2.614	34.31	89.3
3.670	24.25	58.3
2.406	37.37	34.8
2.688	33.33	25.7
2.833	31.58	24.7
2.232	40.41	24.1
2.176	41.49	23.3
3.021	29.57	19.6
2.315	38.90	18.2
1.654	55.56	15.6
4.464	19.89	15.6

Structural model:
Unit cell a=7.854 b=7.854 c=7.854 alpha=134.75 beta=130.11 gamma=69.62
Positions (direct):
1 Na 0.031 0.586 0.978
2 Na 0.392 0.414 0.445
3 Na 0.608 0.053 0.022
4 Na 0.969 0.947 0.555
5 Ag 0.000 0.000 0.000
6 Sn 0.250 0.223 0.602
7 Sn 0.379 0.777 0.027
8 Sn 0.621 0.647 0.398
9 Sn 0.750 0.353 0.973

=====

Repeat the second record exactly.
# Na4AgSn4
Calculated X-ray powder pattern, Cu Kα, 1.54184 Å. Input: a cell relaxed with GGA-PBE.
No peak broadening, texture or thermal motion is included.

Largest 12 diffraction maxima, most intense first, 2θ from 10° to 80°:
d_spacing	2θ/deg	intensity
6.448	13.73	100.0
2.614	34.31	89.3
3.670	24.25	58.3
2.406	37.37	34.8
2.688	33.33	25.7
2.833	31.58	24.7
2.232	40.41	24.1
2.176	41.49	23.3
3.021	29.57	19.6
2.315	38.90	18.2
1.654	55.56	15.6
4.464	19.89	15.6

Structural model:
Unit cell a=7.854 b=7.854 c=7.854 alpha=134.75 beta=130.11 gamma=69.62
Positions (direct):
1 Na 0.031 0.586 0.978
2 Na 0.392 0.414 0.445
3 Na 0.608 0.053 0.022
4 Na 0.969 0.947 0.555
5 Ag 0.000 0.000 0.000
6 Sn 0.250 0.223 0.602
7 Sn 0.379 0.777 0.027
8 Sn 0.621 0.647 0.398
9 Sn 0.750 0.353 0.973